Entry 1:
# Ac2TbSb3Rh6
Theoretical PXRD pattern, λ = 1.5418 Å (Cu Kα). Input: the PBE geometry in Alexandria.
Neutral-atom scattering factors, no anomalous dispersion.

Most intense lines, 2θ from 10° to 90°, by angle:
Position (°2θ), Rel. int., hkl
26.4, 100, 1 0 3
30.2, 40, 1 1 0
30.6, 44, 1 1 1
34.1, 53, 1 1 3
43.2, 68, 2 0 0
44.1, 61, 1 1 6

Atomic structure:
Lattice parameters (Å, degrees): 4.187 4.187 17.101 90.00 90.00 90.00
Space group P4/mmm (No. 123)
One atom of each set of equivalent atoms:
Ac (0.000, 0.000, 0.161) [2 per cell]
Tb (0.000, 0.000, 0.500) [1 per cell]
Sb (0.500, 0.500, 0.000) [1 per cell]
Sb (0.500, 0.500, 0.299) [2 per cell]
Rh (0.000, 0.500, 0.385) [4 per cell]
Rh (0.500, 0.500, 0.149) [2 per cell]

Entry 2:
# Tl4Cd3Hg16
Theoretical PXRD pattern, λ = 1.5418 Å (Cu Kα). Input: the PBE geometry in Alexandria.
Neutral-atom scattering factors, no anomalous dispersion.

Most intense lines, 2θ from 10° to 90°, by angle:
Position (°2θ), Rel. int., hkl
28.5, 27, 2 0 2
32.9, 100, 2 0 3
35.0, 67, 2 2 0
50.4, 22, 4 0 0
51.3, 18, 2 2 5
61.5, 28, 4 2 3

Atomic structure:
Lattice parameters (Å, degrees): 7.245 7.245 12.381 90.00 90.00 90.00
Space group P4/mmm (No. 123)
One atom of each set of equivalent atoms:
Tl (0.000, 0.500, 0.179) [4 per cell]
Cd (0.000, 0.000, 0.000) [1 per cell]
Cd (0.000, 0.500, 0.500) [2 per cell]
Hg (0.000, 0.000, 0.233) [2 per cell]
Hg (0.257, 0.257, 0.367) [8 per cell]
Hg (0.286, 0.286, 0.000) [4 per cell]
Hg (0.500, 0.500, 0.203) [2 per cell]

Entry 3:
# CsKGeI4
Theoretical PXRD pattern, λ = 1.5418 Å (Cu Kα). Input: the PBE geometry in Alexandria.
Neutral-atom scattering factors, no anomalous dispersion.

Most intense lines, 2θ from 10° to 90°, by angle:
Position (°2θ), Rel. int., hkl
23.2, 96, 1 0 -3
25.3, 100, 1 2 -1
26.6, 98, 0 2 2
27.5, 78, 1 2 1
29.6, 83, 1 0 3
34.4, 74, 2 2 -2

Atomic structure:
Lattice parameters (Å, degrees): 7.093 8.236 12.005 90.00 105.75 90.00
Space group P2_1/m (No. 11)
One atom of each set of equivalent atoms:
Cs (0.198, 0.250, 0.422) [2 per cell]
K (0.339, 0.750, 0.018) [2 per cell]
Ge (0.036, 0.250, 0.805) [2 per cell]
I (0.195, 0.250, 0.073) [2 per cell]
I (0.237, 0.750, 0.432) [2 per cell]
I (0.275, 0.008, 0.767) [4 per cell]

Entry 4:
# PrNd5Cu4
Theoretical PXRD pattern, λ = 1.5418 Å (Cu Kα). Input: the PBE geometry in Alexandria.
Neutral-atom scattering factors, no anomalous dispersion.

Most intense lines, 2θ from 10° to 90°, by angle:
Position (°2θ), Rel. int., hkl
30.7, 19, 1 0 4
33.6, 100, 1 0 5
35.3, 78, 1 1 0
36.9, 40, 1 0 6
50.7, 35, 2 0 0
62.2, 33, 2 1 5

Atomic structure:
Lattice parameters (Å, degrees): 3.600 3.600 19.823 90.00 90.00 90.00
Space group P4/mmm (No. 123)
One atom of each set of equivalent atoms:
Pr (0.000, 0.000, 0.000) [1 per cell]
Nd (0.500, 0.500, 0.139) [2 per cell]
Nd (0.500, 0.500, 0.318) [2 per cell]
Nd (0.500, 0.500, 0.500) [1 per cell]
Cu (0.000, 0.000, 0.228) [2 per cell]
Cu (0.000, 0.000, 0.409) [2 per cell]

Entry 5:
# Zn4GaCuNi2
Theoretical PXRD pattern, λ = 1.5418 Å (Cu Kα). Input: the PBE geometry in Alexandria.
Neutral-atom scattering factors, no anomalous dispersion.

Most intense lines, 2θ from 10° to 90°, by angle:
Position (°2θ), Rel. int., hkl
31.5, 27, 1 0 2
37.3, 37, 1 1 1
40.9, 100, 1 1 2
45.8, 39, 1 0 4
46.2, 55, 1 1 3
52.0, 55, 2 0 0

Atomic structure:
Lattice parameters (Å, degrees): 3.519 3.519 9.601 90.00 90.00 90.00
Space group P4/mmm (No. 123)
One atom of each set of equivalent atoms:
Zn (0.000, 0.500, 0.194) [4 per cell]
Ga (0.000, 0.000, 0.500) [1 per cell]
Cu (0.000, 0.000, 0.000) [1 per cell]
Ni (0.500, 0.500, 0.380) [2 per cell]

Entry 6:
# AcGe2Os
Theoretical PXRD pattern, λ = 1.5418 Å (Cu Kα). Input: the PBE geometry in Alexandria.
Neutral-atom scattering factors, no anomalous dispersion.

Most intense lines, 2θ from 10° to 90°, by angle:
Position (°2θ), Rel. int., hkl
25.3, 41, 1 0 1
29.0, 95, 1 0 2
34.5, 100, 1 0 3
42.0, 91, 1 1 0
54.3, 42, 1 1 4
56.3, 32, 1 0 6

Atomic structure:
Lattice parameters (Å, degrees): 4.3005 4.3005 10.9013 90.00 90.00 120.00
Space group P6_3/mmc (No. 194)
One atom of each set of equivalent atoms:
Ac (0.3333, 0.6667, 0.2500) [2 per cell]
Ge (0.3333, 0.6667, 0.5678) [4 per cell]
Os (0.0000, 0.0000, 0.0000) [2 per cell]